MgVSF5: theoretical PXRD pattern (CuKα), based on a GGA+U-relaxed structure.

Structure:
```
MgVSF5
1.0
5.747 0.000 0.000
-0.633 6.402 0.000
-0.397 -1.936 6.404
Mg V S F
2 2 2 10
Direct
0.000 0.000 0.000 Mg
0.137 0.425 0.714 Mg
0.083 0.785 0.466 V
0.620 0.300 0.016 V
0.521 0.875 0.410 S
0.668 0.606 0.411 S
0.028 0.830 0.196 F
0.098 0.099 0.608 F
0.098 0.763 0.770 F
0.161 0.492 0.446 F
0.306 0.184 0.056 F
0.453 0.437 0.832 F
0.484 0.846 0.156 F
0.699 0.016 0.831 F
0.822 0.204 0.202 F
0.907 0.418 0.914 F
```

Principal peaks in the range 15 to 90 degrees two-theta, by angle:
| 2θ/deg | intensity |
| --- | --- |
| 16.9 | 65 |
| 19.9 | 34 |
| 21.8 | 29 |
| 22.8 | 100 |
| 23.4 | 33 |
| 31.4 | 62 |
| 36.3 | 52 |
| 37.3 | 23 |
| 40.5 | 21 |
| 45.3 | 25 |
| 47.2 | 19 |
| 50.7 | 19 |